[1]
Simulated powder XRD pattern of Li7Co5O12 for Cu Kα (weighted mean of Kα1 and Kα2), from a structure optimized by DFT (GGA+U).
Kinematic intensities with the Lorentz-polarization factor, no thermal factor.

Crystal structure
```
Li7Co5O12
1.0
2.5209 -4.2685 0.0000
2.5209 4.2685 0.0000
-1.5406 0.0000 9.3493
Li Co O
7 5 12
direct
0.0000 0.0000 0.0000
0.2494 0.2645 0.7615
0.3348 0.6652 0.0000
0.4040 0.0848 0.2424
0.7355 0.7506 0.2385
0.8169 0.1831 0.5000
0.9152 0.5960 0.7576
0.0822 0.4143 0.2415
0.1478 0.8522 0.5000
0.4895 0.5105 0.5000
0.5857 0.9178 0.7585
0.6606 0.3394 0.0000
0.0175 0.6684 0.1249
0.1373 0.1649 0.3823
0.2321 0.5978 0.6200
0.3316 0.9825 0.8751
0.3827 0.3728 0.1176
0.4022 0.7679 0.3800
0.4914 0.2173 0.6074
0.6272 0.6173 0.8824
0.7314 0.0898 0.1290
0.7827 0.5086 0.3926
0.8351 0.8627 0.6177
0.9102 0.2686 0.8710
```

Peak list (6 most intense, 10° ≤ 2θ ≤ 90°, sorted by position)
two_theta  d/Å  I_rel
21.51  4.132  100
28.31  3.152  47
43.92  2.061  38
44.95  2.017  71
64.39  1.447  19
64.93  1.436  19

[2]
Simulated powder XRD pattern of KNa3WO5 for Cu Kα (weighted mean of Kα1 and Kα2), from a structure optimized by DFT (GGA+U).
Kinematic intensities with the Lorentz-polarization factor, no thermal factor.

Crystal structure
```
KNa3WO5
1.0
4.5862 -3.7798 0.0000
4.5862 3.7798 0.0000
-2.2595 0.0000 8.9282
K Na W O
2 6 2 10
direct
0.2483 0.7517 0.0000
0.7517 0.2483 0.0000
0.1481 0.6581 0.6134
0.3128 0.3128 0.2267
0.3419 0.8519 0.3866
0.6581 0.1481 0.6134
0.6872 0.6872 0.7733
0.8519 0.3419 0.3866
0.1916 0.1916 0.7586
0.8084 0.8084 0.2414
0.0199 0.0199 0.2406
0.0548 0.6169 0.3458
0.2465 0.2465 0.9670
0.3831 0.9452 0.6542
0.4018 0.4018 0.7515
0.5982 0.5982 0.2485
0.6169 0.0548 0.3458
0.7535 0.7535 0.0330
0.9452 0.3831 0.6542
0.9801 0.9801 0.7594
```

Peak list (6 most intense, 10° ≤ 2θ ≤ 90°, sorted by position)
two_theta  d/Å  I_rel
16.94  5.234  81
19.63  4.523  59
19.91  4.460  49
31.04  2.882  100
39.29  2.293  25
47.30  1.922  21